Cs2ScHgF6: calculated powder diffractogram (copper Kα), based on a GGA-PBE-relaxed structure.
Lines closer than 0.1° are merged.

The 10 most intense peaks (2θ from 5° to 70°), most intense first:
d_spacing	2θ (°)	I_rel
3.316	26.89	100
1.914	47.49	41
2.345	38.39	33
1.658	55.42	21
1.483	62.65	20
2.828	31.64	16
5.415	16.37	15
2.152	41.99	10
1.354	69.43	7
1.805	50.57	5

Cell and atoms:
```
data_Cs2ScHgF6
_cell_length_a 6.632
_cell_length_b 6.632
_cell_length_c 6.632
_cell_angle_alpha 60.00
_cell_angle_beta 60.00
_cell_angle_gamma 60.00
_symmetry_space_group_name_H-M 'P 1'
_symmetry_Int_Tables_number 1
loop_
_symmetry_equiv_pos_as_xyz
'x,y,z'
loop_
_atom_site_label
_atom_site_fract_x
_atom_site_fract_y
_atom_site_fract_z
Cs1 0.250 0.250 0.250
Cs2 0.750 0.750 0.750
Sc1 0.000 0.000 0.000
Hg1 0.500 0.500 0.500
F1 0.218 0.218 0.782
F2 0.218 0.782 0.218
F3 0.218 0.782 0.782
F4 0.782 0.218 0.218
F5 0.782 0.218 0.782
F6 0.782 0.782 0.218
```